1.
# Sm3SnC
Theoretical powder XRD pattern, Cu Kα (λ = 1.5418 Å). Input: DFT lattice parameters and positions (GGA-PBE).

Cell and atoms:
```
data_Sm3SnC
_chemical_formula_sum 'Sm3 Sn1 C1'
_cell_length_a 5.737
_cell_length_b 5.737
_cell_length_c 5.737
_cell_angle_alpha 90.00
_cell_angle_beta 90.00
_cell_angle_gamma 90.00
_symmetry_space_group_name_H-M 'P m -3 m'
_symmetry_Int_Tables_number 221
_symmetry_space_group_name_Hall '-P 4 2 3'
loop_
_atom_site_label
_atom_site_type_symbol
_atom_site_fract_x
_atom_site_fract_y
_atom_site_fract_z
Sm1 Sm 0.000 0.000 0.500
Sn1 Sn 0.000 0.000 0.000
C1 C 0.500 0.500 0.500
```

The 8 most intense peaks (15 to 90 degrees two-theta), sorted by position:
2θ = 15.45°, d 5.737, intensity 100
2θ = 26.92°, d 3.312, intensity 63
2θ = 31.18°, d 2.868, intensity 95
2θ = 34.97°, d 2.565, intensity 56
2θ = 44.68°, d 2.028, intensity 70
2θ = 47.55°, d 1.912, intensity 30
2θ = 52.94°, d 1.730, intensity 28
2θ = 73.88°, d 1.283, intensity 32

2.
# LiCuPO4
Theoretical powder XRD pattern, Cu Kα (λ = 1.5418 Å). Input: DFT lattice parameters and positions (GGA-PBE).

Cell and atoms:
```
data_LiCuPO4
_chemical_formula_sum 'Li4 Cu4 P4 O16'
_cell_length_a 5.211
_cell_length_b 6.249
_cell_length_c 10.506
_cell_angle_alpha 89.83
_cell_angle_beta 89.40
_cell_angle_gamma 89.84
_symmetry_space_group_name_H-M 'P 1'
_symmetry_Int_Tables_number 1
loop_
_symmetry_equiv_pos_as_xyz
'x,y,z'
loop_
_atom_site_label
_atom_site_type_symbol
_atom_site_fract_x
_atom_site_fract_y
_atom_site_fract_z
Li1 Li 0.000 0.000 0.000
Li2 Li 0.001 0.454 0.005
Li3 Li 0.372 0.988 0.327
Li4 Li 0.528 0.457 0.837
Cu1 Cu 0.400 0.727 0.082
Cu2 Cu 0.470 0.724 0.588
Cu3 Cu 0.884 0.455 0.494
Cu4 Cu 0.908 0.980 0.506
P1 P 0.006 0.726 0.765
P2 P 0.388 0.228 0.594
P3 P 0.511 0.225 0.093
P4 P 0.878 0.727 0.253
O1 O 0.087 0.230 0.574
O2 O 0.307 0.705 0.751
O3 O 0.386 0.020 0.028
O4 O 0.393 0.429 0.020
O5 O 0.431 0.230 0.231
O6 O 0.467 0.226 0.729
O7 O 0.486 0.025 0.516
O8 O 0.494 0.433 0.519
O9 O 0.582 0.751 0.248
O10 O 0.801 0.225 0.067
O11 O 0.894 0.528 0.830
O12 O 0.905 0.727 0.617
O13 O 0.934 0.934 0.828
O14 O 0.955 0.519 0.324
O15 O 0.992 0.725 0.116
O16 O 0.996 0.916 0.331
```

The 8 most intense peaks (15 to 90 degrees two-theta), sorted by position:
2θ = 16.88°, d 5.253, intensity 100
2θ = 19.09°, d 4.649, intensity 30
2θ = 23.92°, d 3.720, intensity 45
2θ = 33.37°, d 2.685, intensity 84
2θ = 33.48°, d 2.676, intensity 22
2θ = 34.14°, d 2.626, intensity 40
2θ = 34.43°, d 2.605, intensity 80
2θ = 59.13°, d 1.562, intensity 22

3.
# SrFe2AsP
Theoretical powder XRD pattern, Cu Kα (λ = 1.5418 Å). Input: DFT lattice parameters and positions (GGA-PBE).

Cell and atoms:
```
data_SrFe2AsP
_chemical_formula_sum 'Sr2 Fe4 As2 P2'
_cell_length_a 3.881
_cell_length_b 3.881
_cell_length_c 11.620
_cell_angle_alpha 90.00
_cell_angle_beta 90.00
_cell_angle_gamma 90.00
_symmetry_space_group_name_H-M 'I 4 m m'
_symmetry_Int_Tables_number 107
_symmetry_space_group_name_Hall 'I 4 -2'
loop_
_atom_site_label
_atom_site_type_symbol
_atom_site_fract_x
_atom_site_fract_y
_atom_site_fract_z
Sr1 Sr 0.000 0.000 0.000
Fe1 Fe 0.000 0.500 0.260
As1 As 0.000 0.000 0.650
P1 P 0.000 0.000 0.349
```

The 8 most intense peaks (15 to 90 degrees two-theta), sorted by position:
2θ = 15.25°, d 5.810, intensity 21
2θ = 32.66°, d 2.742, intensity 100
2θ = 36.20°, d 2.481, intensity 62
2θ = 45.48°, d 1.995, intensity 25
2θ = 46.82°, d 1.940, intensity 46
2θ = 58.28°, d 1.583, intensity 70
2θ = 68.38°, d 1.372, intensity 16
2θ = 79.88°, d 1.201, intensity 11

4.
# Mg14ZrW
Theoretical powder XRD pattern, Cu Kα (λ = 1.5418 Å). Input: DFT lattice parameters and positions (GGA-PBE).

Cell and atoms:
```
data_Mg14ZrW
_chemical_formula_sum 'Mg28 Zr2 W2'
_cell_length_a 10.125
_cell_length_b 6.121
_cell_length_c 11.209
_cell_angle_alpha 90.00
_cell_angle_beta 90.00
_cell_angle_gamma 90.00
_symmetry_space_group_name_H-M 'A m m 2'
_symmetry_Int_Tables_number 38
loop_
_symmetry_equiv_pos_as_xyz
'x,y,z'
'-x,-y,z'
'-x,y,z'
'x,-y,z'
'x,y+1/2,z+1/2'
'-x,-y+1/2,z+1/2'
'-x,y+1/2,z+1/2'
'x,-y+1/2,z+1/2'
loop_
_atom_site_label
_atom_site_type_symbol
_atom_site_fract_x
_atom_site_fract_y
_atom_site_fract_z
Mg1 Mg 0.000 0.000 0.000
Mg2 Mg 0.000 0.000 0.498
Mg3 Mg 0.000 0.248 0.250
Mg4 Mg 0.248 0.000 0.660
Mg5 Mg 0.258 0.244 0.915
Mg6 Mg 0.263 0.000 0.156
Mg7 Mg 0.500 0.246 0.752
Zr1 Zr 0.500 0.000 0.503
W1 W 0.500 0.000 0.002
```

The 8 most intense peaks (15 to 90 degrees two-theta), sorted by position:
2θ = 15.81°, d 5.604, intensity 38
2θ = 17.52°, d 5.063, intensity 28
2θ = 18.09°, d 4.903, intensity 53
2θ = 33.36°, d 2.686, intensity 36
2θ = 35.46°, d 2.531, intensity 40
2θ = 36.65°, d 2.452, intensity 61
2θ = 37.92°, d 2.373, intensity 100
2θ = 69.68°, d 1.349, intensity 27

5.
# GdNiB4
Theoretical powder XRD pattern, Cu Kα (λ = 1.5418 Å). Input: DFT lattice parameters and positions (GGA-PBE).

Cell and atoms:
```
data_GdNiB4
_chemical_formula_sum 'Gd8 Ni8 B32'
_cell_length_a 7.573
_cell_length_b 7.573
_cell_length_c 8.544
_cell_angle_alpha 90.00
_cell_angle_beta 90.00
_cell_angle_gamma 90.00
_symmetry_space_group_name_H-M 'I 4/m m m'
_symmetry_Int_Tables_number 139
_symmetry_space_group_name_Hall '-I 4 2'
loop_
_atom_site_label
_atom_site_type_symbol
_atom_site_fract_x
_atom_site_fract_y
_atom_site_fract_z
Gd1 Gd 0.000 0.000 0.203
Gd2 Gd 0.000 0.500 0.250
Ni1 Ni 0.000 0.229 0.500
B1 B 0.112 0.276 0.000
B2 B 0.234 0.234 0.348
```

The 8 most intense peaks (15 to 90 degrees two-theta), sorted by position:
2θ = 23.50°, d 3.786, intensity 74
2θ = 28.35°, d 3.148, intensity 21
2θ = 31.58°, d 2.833, intensity 83
2θ = 33.62°, d 2.666, intensity 29
2θ = 39.73°, d 2.269, intensity 100
2θ = 48.06°, d 1.893, intensity 33
2θ = 58.65°, d 1.574, intensity 26
2θ = 71.09°, d 1.326, intensity 23